(1)
For BaPaAsO5, a structure optimized by DFT (GGA-PBE) gives the computed XRD peak list in this record (a wavelength of 1.5418 Å).

Top 10 peaks for 10° ≤ 2θ ≤ 80°, by angle:
(1 1 -1), 2θ = 15.46°, d = 5.730 Å, I = 50.3; (1 1 1), 2θ = 22.26°, d = 3.994 Å, I = 100.0; (2 0 -2), 2θ = 25.36°, d = 3.512 Å, I = 64.4; (0 2 2), 2θ = 29.76°, d = 3.003 Å, I = 49.1; (1 3 -1), 2θ = 29.90°, d = 2.988 Å, I = 73.0; (2 2 0), 2θ = 30.46°, d = 2.934 Å, I = 41.4; (1 1 -3), 2θ = 33.35°, d = 2.687 Å, I = 23.3; (3 1 -1), 2θ = 34.62°, d = 2.591 Å, I = 24.2; (2 0 2), 2θ = 41.38°, d = 2.182 Å, I = 23.4; (3 3 -3), 2θ = 47.61°, d = 1.910 Å, I = 24.6

Atomic structure:
abc: 8.1266 9.9059 8.4231
angles: 90.00 116.31 90.00
Space group C2/c (No. 15)
Unique sites:
Ba  0.0000  0.0676  0.2500 x4
Pa  0.2500  0.2500  0.0000 x4
As  0.0000  0.4420  0.2500 x4
O  0.0000  0.2184  0.7500 x4
O  0.0685  0.3214  0.1335 x8
O  0.2134  0.0510  0.0603 x8

***

(2)
For Ce2SnF8, a structure optimized by DFT (GGA-PBE) gives the computed XRD peak list in this record (a wavelength of 1.5418 Å).

Top 10 peaks for 10° ≤ 2θ ≤ 80°, by angle:
(0 0 1), 2θ = 20.41°, d = 4.350 Å, I = 66.5; (1 1 -1), 2θ = 22.67°, d = 3.922 Å, I = 47.7; (2 0 0), 2θ = 24.75°, d = 3.598 Å, I = 79.0; (0 2 1), 2θ = 26.12°, d = 3.411 Å, I = 49.3; (1 3 0), 2θ = 27.31°, d = 3.266 Å, I = 100.0; (1 1 1), 2θ = 27.62°, d = 3.230 Å, I = 29.4; (2 0 -1), 2θ = 28.11°, d = 3.174 Å, I = 28.0; (0 4 1), 2θ = 38.75°, d = 2.324 Å, I = 24.6; (0 2 2), 2θ = 44.81°, d = 2.023 Å, I = 23.9; (3 3 0), 2θ = 45.18°, d = 2.007 Å, I = 47.3

Atomic structure:
abc: 7.4146 10.9958 4.4828
angles: 90.00 103.97 90.00
Space group Cm (No. 8)
Unique sites:
Ce  0.0000  0.1753  0.0000 x4
Sn  0.4701  0.0000  0.6726 x2
F  0.1319  0.0000  0.2954 x2
F  0.1795  0.3624  0.0164 x4
F  0.3087  0.1318  0.9011 x4
F  0.3944  0.5000  0.7201 x2
F  0.4750  0.2560  0.4852 x4

***

(3)
For Ti5Si2Au2, a structure optimized by DFT (GGA-PBE) gives the computed XRD peak list in this record (a wavelength of 1.5418 Å).

Top 10 peaks for 10° ≤ 2θ ≤ 80°, by angle:
(2 0 0), 2θ = 12.61°, d = 7.022 Å, I = 80.8; (0 0 2), 2θ = 27.15°, d = 3.285 Å, I = 58.6; (0 2 0), 2θ = 27.42°, d = 3.253 Å, I = 24.6; (2 0 2), 2θ = 30.07°, d = 2.972 Å, I = 38.8; (2 2 0), 2θ = 30.28°, d = 2.952 Å, I = 37.9; (4 0 2), 2θ = 37.49°, d = 2.399 Å, I = 100.0; (4 2 0), 2θ = 37.70°, d = 2.386 Å, I = 40.1; (0 2 2), 2θ = 38.99°, d = 2.310 Å, I = 48.9; (2 2 2), 2θ = 41.14°, d = 2.194 Å, I = 33.2; (7 1 1), 2θ = 49.54°, d = 1.840 Å, I = 30.8

Atomic structure:
abc: 14.0432 6.5057 6.5610
angles: 90.00 90.00 90.00
Space group Cmce (No. 64)
Unique sites:
Ti  0.0000  0.0000  0.0000 x4
Ti  0.1236  0.1789  0.3299 x16
Si  0.0000  0.1264  0.6284 x8
Au  0.2179  0.0000  0.0000 x8